CsSc5Cl12: theoretical X-ray powder pattern (Cu Kα (weighted mean of Kα1 and Kα2)), based on the PBE geometry in Alexandria.
Lines closer than 0.1° are merged.

Structural model:
abc: 8.4885 8.4885 8.4885
angles: 111.78 109.62 107.05
Fractional positions:
Cs  0.0000  0.0000  0.0000
Sc  0.1495  0.5000  0.6495
Sc  0.3618  0.8618  0.5000
Sc  0.5000  0.5000  0.0000
Sc  0.6382  0.1382  0.5000
Sc  0.8505  0.5000  0.3505
Cl  0.1424  0.3168  0.8256
Cl  0.1566  0.4902  0.3335
Cl  0.1566  0.8231  0.6665
Cl  0.3405  0.1662  0.5068
Cl  0.3405  0.8338  0.1743
Cl  0.4912  0.3168  0.1744
Cl  0.5088  0.6832  0.8256
Cl  0.6595  0.1662  0.8257
Cl  0.6595  0.8338  0.4932
Cl  0.8434  0.1769  0.3335
Cl  0.8434  0.5098  0.6665
Cl  0.8576  0.6832  0.1744

The 10 most intense peaks (10 to 90 degrees two-theta), in order of falling intensity:
2θ (°)	I/Imax
34.06	100
18.64	69
33.89	69
47.77	51
34.85	50
46.50	41
29.59	37
17.58	36
31.66	34
18.13	32